This entry pairs a crystal structure of Dy3AsO7 with its calculated XRD peak list. Radiation: Cu Kα. Structure: a structure optimized by DFT (GGA-PBE).
Peak positions follow from Bragg's law for the DFT cell and can differ from measured ones.

Cell and atoms:
a b c (Å): 6.358 6.358 7.343
angles (deg): 90.00 90.00 109.14
Fractional positions:
Dy  0.021  0.021  0.000
Dy  0.035  0.498  0.253
Dy  0.498  0.035  0.747
Dy  0.502  0.965  0.247
Dy  0.965  0.502  0.753
Dy  0.979  0.979  0.500
As  0.499  0.499  0.500
As  0.501  0.501  0.000
O  0.130  0.870  0.750
O  0.137  0.863  0.250
O  0.191  0.430  0.974
O  0.199  0.445  0.532
O  0.430  0.191  0.026
O  0.440  0.560  0.250
O  0.445  0.199  0.468
O  0.555  0.801  0.968
O  0.560  0.440  0.750
O  0.570  0.809  0.526
O  0.801  0.555  0.032
O  0.809  0.570  0.474
O  0.863  0.137  0.750
O  0.870  0.130  0.250

Peak list (8 most intense, 10 to 90 degrees two-theta, low angle first)
29.79°, d = 3.000 Å, I = 100
34.48°, d = 2.601 Å, I = 24
34.63°, d = 2.591 Å, I = 10
49.67°, d = 1.836 Å, I = 36
58.83°, d = 1.570 Å, I = 12
58.97°, d = 1.566 Å, I = 14
59.09°, d = 1.563 Å, I = 11
80.63°, d = 1.192 Å, I = 7


This entry pairs a crystal structure of Nd6Hg3H with its calculated XRD peak list. Radiation: Cu Kα. Structure: a structure optimized by DFT (GGA-PBE).
Peak positions follow from Bragg's law for the DFT cell and can differ from measured ones.

Cell and atoms:
a b c (Å): 6.610 8.379 11.902
angles (deg): 90.00 119.70 90.00
Fractional positions:
Nd  0.067  0.060  0.232
Nd  0.067  0.440  0.732
Nd  0.176  0.716  0.064
Nd  0.176  0.784  0.564
Nd  0.398  0.146  0.049
Nd  0.398  0.354  0.549
Nd  0.602  0.646  0.451
Nd  0.602  0.854  0.951
Nd  0.824  0.216  0.436
Nd  0.824  0.284  0.936
Nd  0.933  0.560  0.268
Nd  0.933  0.940  0.768
Hg  0.325  0.114  0.731
Hg  0.325  0.386  0.231
Hg  0.500  0.000  0.500
Hg  0.500  0.500  0.000
Hg  0.675  0.614  0.769
Hg  0.675  0.886  0.269
H  0.000  0.000  0.000
H  0.000  0.500  0.500

Peak list (8 most intense, 10 to 90 degrees two-theta, low angle first)
26.95°, d = 3.308 Å, I = 61
28.39°, d = 3.144 Å, I = 49
30.93°, d = 2.891 Å, I = 100
31.17°, d = 2.870 Å, I = 64
31.96°, d = 2.801 Å, I = 41
34.71°, d = 2.585 Å, I = 40
34.90°, d = 2.571 Å, I = 71
35.75°, d = 2.512 Å, I = 46


This entry pairs a crystal structure of CeTcH6Rh with its calculated XRD peak list. Radiation: Cu Kα. Structure: a structure optimized by DFT (GGA-PBE).
Peak positions follow from Bragg's law for the DFT cell and can differ from measured ones.

Cell and atoms:
a b c (Å): 4.654 4.654 4.362
angles (deg): 90.00 90.00 120.00
Fractional positions:
Ce  0.000  0.000  0.000
Tc  0.667  0.333  0.500
H  0.504  0.008  0.224
H  0.504  0.008  0.776
H  0.504  0.496  0.224
H  0.504  0.496  0.776
H  0.992  0.496  0.224
H  0.992  0.496  0.776
Rh  0.333  0.667  0.500

Peak list (8 most intense, 10 to 90 degrees two-theta, low angle first)
30.19°, d = 2.960 Å, I = 100
38.69°, d = 2.327 Å, I = 51
41.40°, d = 2.181 Å, I = 14
49.84°, d = 1.830 Å, I = 25
57.95°, d = 1.591 Å, I = 32
64.82°, d = 1.438 Å, I = 22
68.62°, d = 1.368 Å, I = 9
84.74°, d = 1.144 Å, I = 11